This entry pairs a crystal structure of Nb2FeNiSn2 with its calculated X-ray powder pattern. Radiation: Cu Kα (weighted mean of Kα1 and Kα2). Structure: a DFT-relaxed cell (GGA-PBE, OQMD).

Unit cell a=5.989 b=5.989 c=11.950 alpha=90.00 beta=90.00 gamma=90.00
Space group I-42d (No. 122)
Inequivalent atoms, fractional coordinates:
Nb 0.238 0.250 0.125 x8
Fe 0.000 0.000 0.000 x4
Ni 0.000 0.000 0.500 x4
Sn 0.246 0.750 0.625 x8

Most intense lines, 5 to 70 degrees two-theta, most intense first:
| 2θ (°) | I_rel | h k l |
| --- | --- | --- |
| 42.74 | 100.0 | 2 0 4 |
| 29.86 | 40.8 | 0 0 4 |
| 25.79 | 15.2 | 1 1 2 |
| 53.01 | 11.2 | 2 2 4 |
| 61.98 | 10.8 | 4 0 0 |
| 50.59 | 7.2 | 3 1 2 |
| 62.14 | 5.4 | 0 0 8 |
| 68.32 | 2.9 | 3 3 2 |

This entry pairs a crystal structure of NbFeSnPt with its calculated X-ray powder pattern. Radiation: Cu Kα (weighted mean of Kα1 and Kα2). Structure: a DFT-relaxed cell (GGA-PBE, OQMD).

Unit cell a=6.449 b=6.449 c=6.449 alpha=90.00 beta=90.00 gamma=90.00
Space group F-43m (No. 216)
Inequivalent atoms, fractional coordinates:
Nb 0.000 0.000 0.000 x4
Fe 0.000 0.000 0.500 x4
Sn 0.250 0.250 0.250 x4
Pt 0.250 0.250 0.750 x4

Most intense lines, 5 to 70 degrees two-theta, most intense first:
| 2θ (°) | I_rel | h k l |
| --- | --- | --- |
| 39.52 | 100.0 | 2 2 0 |
| 57.13 | 17.0 | 4 0 0 |
| 27.66 | 14.2 | 2 0 0 |
| 23.90 | 7.0 | 1 1 1 |
| 64.63 | 6.2 | 4 2 0 |
| 48.92 | 4.4 | 2 2 2 |
| 46.71 | 3.5 | 3 1 1 |
| 62.80 | 1.5 | 3 3 1 |

This entry pairs a crystal structure of NbFe2Si4 with its calculated X-ray powder pattern. Radiation: Cu Kα (weighted mean of Kα1 and Kα2). Structure: a DFT-relaxed cell (GGA-PBE, OQMD).

Unit cell a=3.907 b=3.907 c=6.032 alpha=90.00 beta=90.00 gamma=90.00
Space group P4/mmm (No. 123)
Inequivalent atoms, fractional coordinates:
Nb 0.000 0.000 0.000 x1
Fe 0.000 0.000 0.500 x1
Fe 0.500 0.500 0.000 x1
Si 0.000 0.500 0.292 x4

Most intense lines, 5 to 70 degrees two-theta, most intense first:
| 2θ (°) | I_rel | h k l |
| --- | --- | --- |
| 44.47 | 100.0 | 1 1 2 |
| 46.49 | 48.2 | 2 0 0 |
| 35.75 | 30.8 | 1 1 1 |
| 22.76 | 29.4 | 1 0 0 |
| 14.69 | 17.8 | 0 0 1 |
| 37.68 | 15.4 | 1 0 2 |
| 67.85 | 14.8 | 2 2 0 |
| 32.41 | 12.6 | 1 1 0 |
| 29.62 | 10.7 | 0 0 2 |
| 66.77 | 9.4 | 2 0 3 |

This entry pairs a crystal structure of Y2NbFeSi2 with its calculated X-ray powder pattern. Radiation: Cu Kα (weighted mean of Kα1 and Kα2). Structure: a DFT-relaxed cell (GGA-PBE, OQMD).

Unit cell a=3.949 b=3.949 c=7.458 alpha=90.00 beta=90.00 gamma=90.00
Space group P-4m2 (No. 115)
Inequivalent atoms, fractional coordinates:
Y 0.000 0.500 0.152 x2
Nb 0.500 0.500 0.500 x1
Fe 0.000 0.000 0.500 x1
Si 0.000 0.500 0.726 x2

Most intense lines, 5 to 70 degrees two-theta, most intense first:
| 2θ (°) | I_rel | h k l |
| --- | --- | --- |
| 34.29 | 100.0 | 1 1 1 |
| 40.35 | 72.6 | 1 1 2 |
| 33.04 | 64.3 | 1 0 2 |
| 45.97 | 52.4 | 2 0 0 |
| 25.53 | 32.7 | 1 0 1 |
| 36.13 | 31.8 | 0 0 3 |
| 59.82 | 27.9 | 2 0 3 |
| 67.05 | 27.2 | 2 2 0 |
| 57.77 | 24.8 | 2 1 2 |
| 11.87 | 18.9 | 0 0 1 |